This entry pairs a crystal structure of LiFeSiO4 with its computed X-ray powder pattern. Radiation: CuKα. Structure: a structure optimized by DFT (PBE+U).

Structural model:
Unit cell a=8.765 b=8.765 c=8.155 alpha=90.00 beta=90.00 gamma=120.00
Fractional coordinates of all 42 atoms:
Li: 0.000 0.000 0.000
Li: 0.000 0.000 0.500
Li: 0.333 0.667 0.093
Li: 0.333 0.667 0.685
Li: 0.667 0.333 0.185
Li: 0.667 0.333 0.593
Fe: 0.044 0.686 0.439
Fe: 0.314 0.358 0.439
Fe: 0.358 0.044 0.939
Fe: 0.642 0.956 0.439
Fe: 0.686 0.642 0.939
Fe: 0.956 0.314 0.939
Si: 0.041 0.688 0.827
Si: 0.312 0.353 0.827
Si: 0.353 0.041 0.327
Si: 0.647 0.959 0.827
Si: 0.688 0.647 0.327
Si: 0.959 0.312 0.327
O: 0.099 0.562 0.929
O: 0.110 0.875 0.928
O: 0.125 0.235 0.928
O: 0.147 0.733 0.651
O: 0.174 0.413 0.300
O: 0.235 0.110 0.428
O: 0.240 0.826 0.300
O: 0.267 0.415 0.651
O: 0.413 0.240 0.800
O: 0.415 0.147 0.151
O: 0.438 0.537 0.929
O: 0.463 0.901 0.929
O: 0.537 0.099 0.429
O: 0.562 0.463 0.429
O: 0.585 0.853 0.651
O: 0.587 0.760 0.300
O: 0.733 0.585 0.151
O: 0.760 0.174 0.800
O: 0.765 0.890 0.928
O: 0.826 0.587 0.800
O: 0.853 0.267 0.151
O: 0.875 0.765 0.428
O: 0.890 0.125 0.428
O: 0.901 0.438 0.429

Principal peaks in the range 5 to 70 degrees two-theta, sorted by position:
| d_spacing | intensity |
| --- | --- |
| 4.383 | 95 |
| 4.077 | 100 |
| 3.860 | 91 |
| 2.985 | 41 |
| 2.869 | 40 |
| 2.530 | 29 |
| 2.417 | 26 |
| 2.310 | 56 |
| 2.150 | 24 |
| 1.529 | 23 |

This entry pairs a crystal structure of LiFeSiO4 with its computed X-ray powder pattern. Radiation: CuKα. Structure: a structure optimized by DFT (PBE+U).

Structural model:
Unit cell a=10.200 b=5.877 c=4.805 alpha=90.00 beta=90.00 gamma=90.00
Fractional coordinates of all 28 atoms:
Li: 0.000 0.000 0.000
Li: 0.000 0.500 0.000
Li: 0.500 0.000 0.500
Li: 0.500 0.500 0.500
Fe: 0.227 0.250 0.493
Fe: 0.273 0.750 0.993
Fe: 0.727 0.250 0.007
Fe: 0.773 0.750 0.507
Si: 0.093 0.750 0.441
Si: 0.407 0.250 0.941
Si: 0.593 0.750 0.059
Si: 0.907 0.250 0.559
O: 0.056 0.250 0.686
O: 0.102 0.750 0.778
O: 0.171 0.535 0.284
O: 0.171 0.965 0.284
O: 0.329 0.035 0.784
O: 0.329 0.465 0.784
O: 0.398 0.250 0.278
O: 0.444 0.750 0.186
O: 0.556 0.250 0.814
O: 0.602 0.750 0.722
O: 0.671 0.535 0.216
O: 0.671 0.965 0.216
O: 0.829 0.035 0.716
O: 0.829 0.465 0.716
O: 0.898 0.250 0.222
O: 0.944 0.750 0.314

Principal peaks in the range 5 to 70 degrees two-theta, sorted by position:
| d_spacing | intensity |
| --- | --- |
| 5.100 | 47 |
| 4.347 | 46 |
| 3.495 | 100 |
| 2.939 | 53 |
| 2.510 | 92 |
| 2.435 | 22 |
| 2.251 | 33 |
| 1.787 | 28 |
| 1.748 | 45 |
| 1.601 | 22 |

This entry pairs a crystal structure of Li2Fe2Si2O7 with its computed X-ray powder pattern. Radiation: CuKα. Structure: a structure optimized by DFT (PBE+U).

Structural model:
Unit cell a=4.937 b=4.937 c=13.341 alpha=90.06 beta=90.06 gamma=118.17
Fractional coordinates of all 26 atoms:
Li: 0.199 0.800 0.836
Li: 0.200 0.800 0.500
Li: 0.800 0.199 0.336
Li: 0.800 0.200 0.000
Fe: 0.515 0.515 0.418
Fe: 0.515 0.515 0.918
Fe: 0.527 0.535 0.168
Fe: 0.535 0.527 0.668
Si: 0.149 0.852 0.280
Si: 0.150 0.853 0.055
Si: 0.852 0.149 0.780
Si: 0.853 0.150 0.555
O: 0.177 0.625 0.363
O: 0.177 0.705 0.168
O: 0.178 0.626 0.973
O: 0.210 0.419 0.783
O: 0.211 0.421 0.553
O: 0.419 0.210 0.283
O: 0.421 0.211 0.053
O: 0.625 0.177 0.863
O: 0.626 0.178 0.473
O: 0.705 0.177 0.668
O: 0.805 0.828 0.287
O: 0.806 0.828 0.047
O: 0.828 0.805 0.787
O: 0.828 0.806 0.547

Principal peaks in the range 5 to 70 degrees two-theta, sorted by position:
| d_spacing | intensity |
| --- | --- |
| 4.352 | 51 |
| 4.236 | 27 |
| 4.138 | 38 |
| 4.037 | 23 |
| 2.647 | 100 |
| 2.537 | 26 |
| 2.467 | 47 |
| 1.823 | 35 |
| 1.788 | 19 |
| 1.461 | 17 |

This entry pairs a crystal structure of LiFeSi2O6 with its computed X-ray powder pattern. Radiation: CuKα. Structure: a structure optimized by DFT (PBE+U).

Structural model:
Unit cell a=5.233 b=5.233 c=10.637 alpha=103.85 beta=103.85 gamma=89.28
Fractional coordinates of all 20 atoms:
Li: 0.097 0.903 0.500
Li: 0.903 0.097 0.000
Fe: 0.005 0.285 0.325
Fe: 0.285 0.005 0.825
Si: 0.255 0.593 0.000
Si: 0.593 0.255 0.500
Si: 0.702 0.844 0.669
Si: 0.844 0.702 0.169
O: 0.013 0.866 0.668
O: 0.026 0.524 0.074
O: 0.210 0.882 0.967
O: 0.224 0.362 0.865
O: 0.362 0.224 0.365
O: 0.524 0.026 0.574
O: 0.543 0.582 0.101
O: 0.582 0.543 0.601
O: 0.643 0.944 0.817
O: 0.866 0.013 0.168
O: 0.882 0.210 0.467
O: 0.944 0.643 0.317

Principal peaks in the range 5 to 70 degrees two-theta, sorted by position:
| d_spacing | intensity |
| --- | --- |
| 5.066 | 13 |
| 4.139 | 100 |
| 4.099 | 82 |
| 3.166 | 8 |
| 2.964 | 7 |
| 2.616 | 39 |
| 2.503 | 19 |
| 2.469 | 18 |
| 2.313 | 12 |
| 1.495 | 8 |

This entry pairs a crystal structure of Li2Fe2Si5O13 with its computed X-ray powder pattern. Radiation: CuKα. Structure: a structure optimized by DFT (PBE+U).

Structural model:
Unit cell a=7.545 b=7.671 c=9.873 alpha=83.88 beta=68.08 gamma=74.23
Fractional coordinates of all 44 atoms:
Li: 0.159 0.408 0.245
Li: 0.185 0.080 0.368
Li: 0.815 0.920 0.632
Li: 0.841 0.592 0.755
Fe: 0.029 0.156 0.101
Fe: 0.441 0.840 0.901
Fe: 0.559 0.160 0.099
Fe: 0.971 0.844 0.899
Si: 0.150 0.223 0.766
Si: 0.214 0.693 0.544
Si: 0.265 0.766 0.228
Si: 0.308 0.458 0.908
Si: 0.371 0.295 0.455
Si: 0.629 0.705 0.545
Si: 0.692 0.542 0.092
Si: 0.735 0.234 0.772
Si: 0.786 0.307 0.456
Si: 0.850 0.777 0.234
O: 0.023 0.772 0.684
O: 0.074 0.693 0.241
O: 0.159 0.055 0.881
O: 0.200 0.400 0.807
O: 0.211 0.496 0.495
O: 0.213 0.830 0.399
O: 0.238 0.678 0.923
O: 0.278 0.324 0.050
O: 0.296 0.162 0.596
O: 0.302 0.936 0.118
O: 0.369 0.216 0.310
O: 0.414 0.681 0.570
O: 0.450 0.589 0.190
O: 0.550 0.411 0.810
O: 0.586 0.319 0.430
O: 0.631 0.784 0.690
O: 0.698 0.064 0.882
O: 0.704 0.838 0.404
O: 0.722 0.676 0.950
O: 0.762 0.322 0.077
O: 0.787 0.170 0.601
O: 0.789 0.504 0.505
O: 0.800 0.600 0.193
O: 0.841 0.945 0.119
O: 0.926 0.307 0.759
O: 0.977 0.228 0.316

Principal peaks in the range 5 to 70 degrees two-theta, sorted by position:
| d_spacing | intensity |
| --- | --- |
| 9.159 | 64 |
| 5.750 | 41 |
| 3.686 | 100 |
| 3.033 | 66 |
| 2.955 | 64 |
| 2.880 | 39 |
| 2.865 | 31 |
| 2.826 | 41 |
| 2.815 | 51 |
| 1.886 | 30 |

This entry pairs a crystal structure of LiFeSiO4 with its computed X-ray powder pattern. Radiation: CuKα. Structure: a structure optimized by DFT (PBE+U).

Structural model:
Unit cell a=10.274 b=5.137 c=13.457 alpha=90.00 beta=90.00 gamma=90.00
Fractional coordinates of all 56 atoms:
Li: 0.036 0.091 0.000
Li: 0.216 0.440 0.246
Li: 0.284 0.440 0.746
Li: 0.464 0.091 0.500
Li: 0.536 0.909 0.000
Li: 0.716 0.560 0.246
Li: 0.784 0.560 0.746
Li: 0.964 0.909 0.500
Fe: 0.040 0.930 0.250
Fe: 0.214 0.445 0.496
Fe: 0.286 0.445 0.996
Fe: 0.460 0.930 0.750
Fe: 0.540 0.070 0.250
Fe: 0.714 0.555 0.496
Fe: 0.786 0.555 0.996
Fe: 0.960 0.070 0.750
Si: 0.035 0.574 0.872
Si: 0.213 0.944 0.625
Si: 0.287 0.944 0.125
Si: 0.465 0.574 0.372
Si: 0.535 0.426 0.872
Si: 0.713 0.056 0.625
Si: 0.787 0.056 0.125
Si: 0.965 0.426 0.372
O: 0.009 0.891 0.868
O: 0.033 0.566 0.274
O: 0.037 0.542 0.472
O: 0.055 0.994 0.632
O: 0.191 0.510 0.877
O: 0.212 0.057 0.224
O: 0.233 0.099 0.026
O: 0.248 0.633 0.616
O: 0.252 0.633 0.116
O: 0.267 0.099 0.526
O: 0.288 0.057 0.724
O: 0.309 0.510 0.377
O: 0.445 0.994 0.132
O: 0.463 0.542 0.972
O: 0.467 0.566 0.774
O: 0.491 0.891 0.368
O: 0.509 0.109 0.868
O: 0.533 0.434 0.274
O: 0.537 0.458 0.472
O: 0.555 0.006 0.632
O: 0.691 0.490 0.877
O: 0.712 0.943 0.224
O: 0.733 0.901 0.026
O: 0.748 0.367 0.616
O: 0.752 0.367 0.116
O: 0.767 0.901 0.526
O: 0.788 0.943 0.724
O: 0.809 0.490 0.377
O: 0.945 0.006 0.132
O: 0.963 0.458 0.972
O: 0.967 0.434 0.774
O: 0.991 0.109 0.368

Principal peaks in the range 5 to 70 degrees two-theta, sorted by position:
| d_spacing | intensity |
| --- | --- |
| 4.083 | 100 |
| 3.379 | 10 |
| 3.210 | 7 |
| 2.823 | 10 |
| 2.568 | 32 |
| 2.175 | 12 |
| 2.055 | 6 |
| 2.044 | 6 |
| 1.682 | 7 |
| 1.527 | 8 |

This entry pairs a crystal structure of LiFeSiO4 with its computed X-ray powder pattern. Radiation: CuKα. Structure: a structure optimized by DFT (PBE+U).

Structural model:
Unit cell a=11.297 b=5.376 c=5.930 alpha=90.00 beta=90.00 gamma=90.00
Fractional coordinates of all 28 atoms:
Li: 0.169 0.174 0.000
Li: 0.331 0.674 0.500
Li: 0.669 0.326 0.000
Li: 0.831 0.826 0.500
Fe: 0.077 0.673 0.225
Fe: 0.423 0.173 0.725
Fe: 0.577 0.827 0.225
Fe: 0.923 0.327 0.725
Si: 0.083 0.824 0.717
Si: 0.417 0.324 0.217
Si: 0.583 0.676 0.717
Si: 0.917 0.176 0.217
O: 0.044 0.327 0.198
O: 0.061 0.127 0.729
O: 0.154 0.766 0.954
O: 0.164 0.748 0.495
O: 0.336 0.248 0.995
O: 0.346 0.266 0.454
O: 0.439 0.627 0.229
O: 0.456 0.827 0.698
O: 0.544 0.173 0.198
O: 0.561 0.373 0.729
O: 0.654 0.734 0.954
O: 0.664 0.752 0.495
O: 0.836 0.252 0.995
O: 0.846 0.234 0.454
O: 0.939 0.873 0.229
O: 0.956 0.673 0.698

Principal peaks in the range 5 to 70 degrees two-theta, sorted by position:
| d_spacing | intensity |
| --- | --- |
| 5.648 | 73 |
| 3.894 | 100 |
| 3.756 | 21 |
| 2.965 | 29 |
| 2.736 | 42 |
| 2.688 | 29 |
| 2.625 | 46 |
| 1.911 | 19 |
| 1.589 | 18 |
| 1.561 | 24 |